# 1
Structure and theoretical X-ray diffraction stick pattern of LaBeAl3 (a structure optimized by DFT (PBE); Cu Ka).

Top 12 peaks for 2θ = 10–80°, by intensity:
2θ (°)  d/Å  I (rel.)  (hkl)
32.57  2.749  1000  1 0 3
34.05  2.633  895  1 1 2
22.41  3.968  832  1 0 1
29.60  3.018  536  1 1 0
16.44  5.392  477  0 0 2
54.43  1.686  459  2 1 3
42.36  2.134  403  2 0 0
47.22  1.925  388  1 0 5
65.28  1.429  292  2 1 5
48.44  1.879  220  2 1 1
72.15  1.309  198  3 1 2
45.73  1.984  151  2 0 2

```
data_LaBeAl3
_chemical_formula_sum 'La2 Be2 Al6'
_space_group_name_H-M_alt 'I -4 m 2'
_space_group_IT_number 119
_space_group_name_Hall 'I -4 -2'
_cell_length_a 4.2676
_cell_length_b 4.2676
_cell_length_c 10.7831
_cell_angle_alpha 90.00
_cell_angle_beta 90.00
_cell_angle_gamma 90.00
loop_
_atom_site_label
_atom_site_type_symbol
_atom_site_fract_x
_atom_site_fract_y
_atom_site_fract_z
_atom_site_occupancy
La1 La 0.0000 0.0000 0.0000 1
Be1 Be 0.0000 0.5000 0.7500 1
Al1 Al 0.0000 0.0000 0.3800 1
Al2 Al 0.0000 0.5000 0.2500 1
```

---

# 2
Structure and theoretical X-ray diffraction stick pattern of La3BeAlS7 (a structure optimized by DFT (PBE); Cu Ka).

Top 12 peaks for 2θ = 10–80°, by intensity:
2θ (°)  d/Å  I (rel.)  (hkl)
25.11  3.547  1000  2 0 1
18.00  4.929  817  1 0 1
40.65  2.220  792  1 2 2
39.75  2.268  787  3 1 1
26.66  3.344  783  1 2 0
33.94  2.641  763  3 0 1
22.97  3.872  666  1 1 1
47.07  1.931  386  4 1 0
49.65  1.836  364  1 4 1
30.69  2.914  344  2 1 1
36.46  2.464  334  2 0 2
47.33  1.921  294  3 2 1

```
data_La3BeAlS7
_chemical_formula_sum 'La6 Be2 Al2 S14'
_space_group_name_H-M_alt 'P 63'
_space_group_IT_number 173
_cell_length_a 10.2168
_cell_length_b 10.2168
_cell_length_c 5.9352
_cell_angle_alpha 90.00
_cell_angle_beta 90.00
_cell_angle_gamma 120.00
loop_
_space_group_symop_operation_xyz
'x,y,z'
'x-y,x,z+1/2'
'-y,x-y,z'
'-x,-y,z+1/2'
'-x+y,-x,z'
'y,-x+y,z+1/2'
loop_
_atom_site_label
_atom_site_type_symbol
_atom_site_fract_x
_atom_site_fract_y
_atom_site_fract_z
_atom_site_occupancy
La1 La 0.1376 0.3907 0.0000 1
Be1 Be 0.3333 0.6667 0.4127 1
Al1 Al 0.0000 0.0000 0.2606 1
S1 S 0.0756 0.2168 0.5169 1
S2 S 0.1130 0.5933 0.2846 1
S3 S 0.3333 0.6667 0.7663 1
```

---

Question: Number 2 is which compound?
Answer: La3BeAlS7